[1]
# CdI2
Theoretical PXRD pattern, Cu Kα X-rays. Input: DFT lattice parameters and positions (PBE).
No peak broadening, texture or thermal motion is included.

Structural model:
a b c (Å): 4.337 4.337 99.951
angles (deg): 90.00 90.00 120.00
Sites, in units of the cell vectors:
Cd1 0.000 0.000 0.000
Cd2 0.000 0.000 0.077
Cd3 0.000 0.000 0.231
Cd4 0.000 0.000 0.385
Cd5 0.000 0.000 0.539
Cd6 0.000 0.000 0.692
Cd7 0.000 0.000 0.846
Cd8 0.667 0.333 0.154
Cd9 0.667 0.333 0.308
Cd10 0.667 0.333 0.462
Cd11 0.667 0.333 0.615
Cd12 0.667 0.333 0.769
Cd13 0.667 0.333 0.923
I1 0.000 0.000 0.136
I2 0.000 0.000 0.290
I3 0.000 0.000 0.444
I4 0.000 0.000 0.598
I5 0.000 0.000 0.752
I6 0.000 0.000 0.906
I7 0.333 0.667 0.017
I8 0.333 0.667 0.094
I9 0.333 0.667 0.171
I10 0.333 0.667 0.248
I11 0.333 0.667 0.325
I12 0.333 0.667 0.402
I13 0.333 0.667 0.479
I14 0.333 0.667 0.556
I15 0.333 0.667 0.632
I16 0.333 0.667 0.709
I17 0.333 0.667 0.786
I18 0.333 0.667 0.863
I19 0.333 0.667 0.940
I20 0.667 0.333 0.059
I21 0.667 0.333 0.213
I22 0.667 0.333 0.367
I23 0.667 0.333 0.521
I24 0.667 0.333 0.675
I25 0.667 0.333 0.829
I26 0.667 0.333 0.983

Largest 6 diffraction maxima, by angle, 10° ≤ 2θ ≤ 90°:
2θ 11.51, I 75, hkl 0 0 13
2θ 26.41, I 100, hkl 0 1 13
2θ 29.22, I 28, hkl 1 0 19
2θ 29.76, I 27, hkl 1 0 20
2θ 33.35, I 26, hkl 0 1 26
2θ 41.65, I 53, hkl 1 1 0

[2]
# CdI2
Theoretical PXRD pattern, Cu Kα X-rays. Input: DFT lattice parameters and positions (PBE).
No peak broadening, texture or thermal motion is included.

Structural model:
a b c (Å): 4.331 4.331 59.401
angles (deg): 90.00 90.00 120.00
Sites, in units of the cell vectors:
Cd1 0.000 0.000 0.000
Cd2 0.000 0.000 0.125
Cd3 0.000 0.000 0.250
Cd4 0.000 0.000 0.375
Cd5 0.000 0.000 0.500
Cd6 0.000 0.000 0.750
Cd7 0.667 0.333 0.625
Cd8 0.667 0.333 0.875
I1 0.000 0.000 0.596
I2 0.000 0.000 0.846
I3 0.333 0.667 0.029
I4 0.333 0.667 0.154
I5 0.333 0.667 0.279
I6 0.333 0.667 0.404
I7 0.333 0.667 0.529
I8 0.333 0.667 0.654
I9 0.333 0.667 0.779
I10 0.333 0.667 0.904
I11 0.667 0.333 0.096
I12 0.667 0.333 0.221
I13 0.667 0.333 0.346
I14 0.667 0.333 0.471
I15 0.667 0.333 0.721
I16 0.667 0.333 0.971

Largest 6 diffraction maxima, by angle, 10° ≤ 2θ ≤ 90°:
2θ 11.92, I 51, hkl 0 0 8
2θ 26.63, I 100, hkl 0 1 8
2θ 33.98, I 33, hkl 0 1 16
2θ 41.71, I 47, hkl 1 1 0
2θ 43.82, I 27, hkl 1 0 24
2θ 66.32, I 21, hkl 1 1 32

[3]
# CdI2
Theoretical PXRD pattern, Cu Kα X-rays. Input: DFT lattice parameters and positions (PBE).
No peak broadening, texture or thermal motion is included.

Structural model:
a b c (Å): 4.330 4.330 37.053
angles (deg): 90.00 90.00 120.00
Sites, in units of the cell vectors:
Cd1 0.000 0.000 0.000
Cd2 0.000 0.000 0.400
Cd3 0.000 0.000 0.600
Cd4 0.333 0.667 0.200
Cd5 0.667 0.333 0.800
I1 0.000 0.000 0.247
I2 0.000 0.000 0.753
I3 0.333 0.667 0.047
I4 0.333 0.667 0.447
I5 0.333 0.667 0.647
I6 0.333 0.667 0.847
I7 0.667 0.333 0.153
I8 0.667 0.333 0.353
I9 0.667 0.333 0.553
I10 0.667 0.333 0.953

Largest 6 diffraction maxima, by angle, 10° ≤ 2θ ≤ 90°:
2θ 11.94, I 68, hkl 0 0 5
2θ 26.64, I 100, hkl 0 1 5
2θ 27.83, I 29, hkl 1 0 6
2θ 30.68, I 38, hkl 1 0 8
2θ 41.72, I 73, hkl 1 1 0
2θ 66.41, I 28, hkl 1 1 20

[4]
# CdI2
Theoretical PXRD pattern, Cu Kα X-rays. Input: DFT lattice parameters and positions (PBE).
No peak broadening, texture or thermal motion is included.

Structural model:
a b c (Å): 4.334 4.334 59.317
angles (deg): 90.00 90.00 120.00
Sites, in units of the cell vectors:
Cd1 0.000 0.000 0.000
Cd2 0.000 0.000 0.125
Cd3 0.000 0.000 0.375
Cd4 0.000 0.000 0.625
Cd5 0.667 0.333 0.250
Cd6 0.667 0.333 0.500
Cd7 0.667 0.333 0.750
Cd8 0.667 0.333 0.875
I1 0.000 0.000 0.221
I2 0.000 0.000 0.471
I3 0.000 0.000 0.721
I4 0.000 0.000 0.846
I5 0.333 0.667 0.029
I6 0.333 0.667 0.154
I7 0.333 0.667 0.279
I8 0.333 0.667 0.404
I9 0.333 0.667 0.529
I10 0.333 0.667 0.654
I11 0.333 0.667 0.779
I12 0.333 0.667 0.904
I13 0.667 0.333 0.096
I14 0.667 0.333 0.346
I15 0.667 0.333 0.596
I16 0.667 0.333 0.971

Largest 6 diffraction maxima, by angle, 10° ≤ 2θ ≤ 90°:
2θ 11.94, I 58, hkl 0 0 8
2θ 26.62, I 100, hkl 0 1 8
2θ 33.99, I 22, hkl 1 0 16
2θ 41.68, I 53, hkl 1 1 0
2θ 43.86, I 26, hkl 0 1 24
2θ 66.36, I 23, hkl 1 1 32